Simulated XRD peak list
Compound: Al2GaCu7Si2
Radiation: Cu Ka
Structure: a cell relaxed with GGA-PBE
No peak broadening, texture or thermal motion is included.

Atomic structure:
```
data_Al2GaCu7Si2
_chemical_formula_sum 'Al2 Ga1 Cu7 Si2'
_cell_length_a 3.787
_cell_length_b 3.787
_cell_length_c 11.345
_cell_angle_alpha 90.00
_cell_angle_beta 90.00
_cell_angle_gamma 93.94
_symmetry_space_group_name_H-M 'P 1'
_symmetry_Int_Tables_number 1
loop_
_symmetry_equiv_pos_as_xyz
'x,y,z'
loop_
_atom_site_label
_atom_site_fract_x
_atom_site_fract_y
_atom_site_fract_z
Al1 0.000 0.000 0.183
Al2 0.000 0.000 0.817
Ga1 0.500 0.500 0.500
Cu1 0.000 0.000 0.500
Cu2 0.000 0.500 0.336
Cu3 0.000 0.500 0.664
Cu4 0.259 0.259 0.000
Cu5 0.500 0.000 0.336
Cu6 0.500 0.000 0.664
Cu7 0.741 0.741 0.000
Si1 0.500 0.500 0.188
Si2 0.500 0.500 0.812
```

Main lines, by angle (10° ≤ 2θ ≤ 80°):
23.53 deg, d = 3.782 Å, intensity 15
33.31 deg, d = 2.690 Å, intensity 15
36.10 deg, d = 2.488 Å, intensity 41
40.38 deg, d = 2.234 Å, intensity 39
42.36 deg, d = 2.134 Å, intensity 100
45.80 deg, d = 1.981 Å, intensity 34
48.14 deg, d = 1.890 Å, intensity 56
48.87 deg, d = 1.864 Å, intensity 43
70.46 deg, d = 1.336 Å, intensity 12
77.62 deg, d = 1.230 Å, intensity 16